Record 1
For Tm3CdCu, a structure optimized by DFT (GGA-PBE) gives the simulated powder diffractogram in this record (a wavelength of 1.5418 Å).
Peak positions follow from Bragg's law for the DFT cell and can differ from measured ones.

Peak list (10 most intense, 10° ≤ 2θ ≤ 90°, by angle)
2θ = 30.22°, I = 51
2θ = 32.08°, I = 35
2θ = 32.92°, I = 100
2θ = 33.34°, I = 63
2θ = 34.27°, I = 36
2θ = 35.32°, I = 42
2θ = 35.72°, I = 46
2θ = 39.04°, I = 55
2θ = 40.21°, I = 24
2θ = 58.27°, I = 88

Crystal structure
Cell lengths 8.922, 8.922, 3.440 Å; angles 90.00, 90.00, 115.37 degrees
Atoms (fractional coordinates):
1 Tm 0.000 0.000 0.000
2 Tm 0.041 0.341 0.500
3 Tm 0.341 0.041 0.500
4 Tm 0.500 0.500 0.500
5 Tm 0.659 0.959 0.500
6 Tm 0.959 0.659 0.500
7 Cd 0.302 0.698 0.000
8 Cd 0.698 0.302 0.000
9 Cu 0.278 0.278 0.000
10 Cu 0.722 0.722 0.000

***

Record 2
For Y2CdCu, a structure optimized by DFT (GGA-PBE) gives the simulated powder diffractogram in this record (a wavelength of 1.5418 Å).
Peak positions follow from Bragg's law for the DFT cell and can differ from measured ones.

Peak list (10 most intense, 10° ≤ 2θ ≤ 90°, by angle)
2θ = 27.80°, I = 8
2θ = 34.64°, I = 100
2θ = 35.87°, I = 48
2θ = 47.91°, I = 8
2θ = 51.55°, I = 8
2θ = 51.72°, I = 8
2θ = 61.27°, I = 15
2θ = 63.62°, I = 16
2θ = 63.74°, I = 16
2θ = 80.60°, I = 5

Crystal structure
Cell lengths 3.535, 3.546, 7.595 Å; angles 90.00, 90.00, 90.00 degrees
Atoms (fractional coordinates):
1 Y 0.000 0.000 0.223
2 Y 0.000 0.000 0.777
3 Cd 0.500 0.500 0.500
4 Cu 0.500 0.500 0.000

***

Record 3
For YCd11Cu, a structure optimized by DFT (GGA-PBE) gives the simulated powder diffractogram in this record (a wavelength of 1.5418 Å).
Peak positions follow from Bragg's law for the DFT cell and can differ from measured ones.

Peak list (10 most intense, 10° ≤ 2θ ≤ 90°, by angle)
2θ = 31.07°, I = 24
2θ = 31.24°, I = 33
2θ = 35.69°, I = 49
2θ = 35.89°, I = 37
2θ = 36.11°, I = 98
2θ = 36.32°, I = 100
2θ = 40.23°, I = 73
2θ = 40.54°, I = 48
2θ = 40.68°, I = 38
2θ = 40.84°, I = 37

Crystal structure
Cell lengths 7.598, 7.598, 7.540 Å; angles 98.33, 98.33, 134.95 degrees
Atoms (fractional coordinates):
1 Y 0.000 0.000 0.000
2 Cd 0.000 0.000 0.500
3 Cd 0.000 0.500 0.000
4 Cd 0.017 0.358 0.356
5 Cd 0.303 0.510 0.783
6 Cd 0.358 0.017 0.356
7 Cd 0.490 0.697 0.217
8 Cd 0.500 0.000 0.000
9 Cd 0.510 0.303 0.783
10 Cd 0.642 0.983 0.644
11 Cd 0.697 0.490 0.217
12 Cd 0.983 0.642 0.644
13 Cu 0.500 0.500 0.500

***

Record 4
For Y2CdCu, a structure optimized by DFT (GGA-PBE) gives the simulated powder diffractogram in this record (a wavelength of 1.5418 Å).
Peak positions follow from Bragg's law for the DFT cell and can differ from measured ones.

Peak list (10 most intense, 10° ≤ 2θ ≤ 90°, by angle)
2θ = 30.58°, I = 17
2θ = 33.31°, I = 18
2θ = 35.30°, I = 100
2θ = 35.58°, I = 28
2θ = 49.53°, I = 11
2θ = 49.67°, I = 8
2θ = 52.01°, I = 9
2θ = 63.20°, I = 10
2θ = 63.71°, I = 18
2θ = 64.60°, I = 9

Crystal structure
Cell lengths 6.197, 6.197, 6.197 Å; angles 147.03, 131.94, 59.51 degrees
Atoms (fractional coordinates):
1 Y 0.000 0.000 0.000
2 Y 0.710 0.210 0.500
3 Cd 0.290 0.790 0.500
4 Cu 0.487 0.487 0.000

***

Record 5
For YCd3Cu8, a structure optimized by DFT (GGA-PBE) gives the simulated powder diffractogram in this record (a wavelength of 1.5418 Å).
Peak positions follow from Bragg's law for the DFT cell and can differ from measured ones.

Peak list (10 most intense, 10° ≤ 2θ ≤ 90°, by angle)
2θ = 35.15°, I = 44
2θ = 38.72°, I = 77
2θ = 41.67°, I = 100
2θ = 42.34°, I = 69
2θ = 44.17°, I = 13
2θ = 65.45°, I = 29
2θ = 67.52°, I = 22
2θ = 71.63°, I = 26
2θ = 74.30°, I = 23
2θ = 87.09°, I = 14

Crystal structure
Cell lengths 5.106, 5.106, 8.202 Å; angles 90.00, 90.00, 120.00 degrees
Atoms (fractional coordinates):
1 Y 0.000 0.000 0.000
2 Cd 0.000 0.000 0.388
3 Cd 0.667 0.333 0.497
4 Cd 0.667 0.333 0.864
5 Cu 0.166 0.333 0.686
6 Cu 0.166 0.834 0.686
7 Cu 0.333 0.667 0.435
8 Cu 0.333 0.667 0.938
9 Cu 0.502 0.005 0.191
10 Cu 0.502 0.498 0.191
11 Cu 0.667 0.834 0.686
12 Cu 0.995 0.498 0.191

***

Record 6
For Y4Zn2CdCu, a structure optimized by DFT (GGA-PBE) gives the simulated powder diffractogram in this record (a wavelength of 1.5418 Å).
Peak positions follow from Bragg's law for the DFT cell and can differ from measured ones.

Peak list (10 most intense, 10° ≤ 2θ ≤ 90°, by angle)
2θ = 32.32°, I = 5
2θ = 35.16°, I = 100
2θ = 35.28°, I = 94
2θ = 50.66°, I = 33
2θ = 63.13°, I = 50
2θ = 63.40°, I = 14
2θ = 74.31°, I = 10
2θ = 74.61°, I = 8
2θ = 85.02°, I = 14
2θ = 85.24°, I = 12

Crystal structure
Cell lengths 8.803, 8.803, 8.803 Å; angles 33.71, 33.71, 33.71 degrees
Atoms (fractional coordinates):
1 Y 0.119 0.119 0.119
2 Y 0.370 0.370 0.370
3 Y 0.630 0.630 0.630
4 Y 0.881 0.881 0.881
5 Zn 0.246 0.246 0.246
6 Zn 0.754 0.754 0.754
7 Cd 0.500 0.500 0.500
8 Cu 0.000 0.000 0.000

***

Record 7
For Zr5CdCu, a structure optimized by DFT (GGA-PBE) gives the simulated powder diffractogram in this record (a wavelength of 1.5418 Å).
Peak positions follow from Bragg's law for the DFT cell and can differ from measured ones.

Peak list (10 most intense, 10° ≤ 2θ ≤ 90°, by angle)
2θ = 30.15°, I = 44
2θ = 33.10°, I = 34
2θ = 34.67°, I = 40
2θ = 34.85°, I = 59
2θ = 34.97°, I = 68
2θ = 35.17°, I = 100
2θ = 36.86°, I = 64
2θ = 38.95°, I = 39
2θ = 39.47°, I = 81
2θ = 43.98°, I = 29

Crystal structure
Cell lengths 5.968, 5.968, 11.310 Å; angles 111.96, 111.96, 59.65 degrees
Atoms (fractional coordinates):
1 Zr 0.074 0.358 0.709
2 Zr 0.076 0.924 0.750
3 Zr 0.161 0.671 0.984
4 Zr 0.329 0.839 0.516
5 Zr 0.358 0.074 0.209
6 Zr 0.642 0.926 0.791
7 Zr 0.671 0.161 0.484
8 Zr 0.839 0.329 0.016
9 Zr 0.924 0.076 0.250
10 Zr 0.926 0.642 0.291
11 Cd 0.438 0.562 0.250
12 Cd 0.562 0.438 0.750
13 Cu 0.000 0.500 0.500
14 Cu 0.500 0.000 0.000

***

Record 8
For Dy2Cd5, a structure optimized by DFT (GGA-PBE) gives the simulated powder diffractogram in this record (a wavelength of 1.5418 Å).
Peak positions follow from Bragg's law for the DFT cell and can differ from measured ones.

Peak list (10 most intense, 10° ≤ 2θ ≤ 90°, by angle)
2θ = 30.23°, I = 33
2θ = 34.27°, I = 26
2θ = 35.40°, I = 93
2θ = 36.47°, I = 100
2θ = 37.22°, I = 26
2θ = 37.35°, I = 98
2θ = 55.40°, I = 24
2θ = 57.13°, I = 27
2θ = 63.66°, I = 18
2θ = 67.47°, I = 27

Crystal structure
Cell lengths 8.574, 8.574, 8.574 Å; angles 129.19, 70.59, 134.47 degrees
Atoms (fractional coordinates):
1 Dy 0.102 0.188 0.290
2 Dy 0.398 0.688 0.087
3 Dy 0.602 0.312 0.913
4 Dy 0.898 0.812 0.710
5 Cd 0.018 0.750 0.268
6 Cd 0.124 0.764 0.888
7 Cd 0.250 0.750 0.500
8 Cd 0.376 0.264 0.640
9 Cd 0.482 0.750 0.732
10 Cd 0.518 0.250 0.268
11 Cd 0.624 0.736 0.360
12 Cd 0.750 0.250 0.500
13 Cd 0.876 0.236 0.112
14 Cd 0.982 0.250 0.732

***

Record 9
For Dy2Cd3, a structure optimized by DFT (GGA-PBE) gives the simulated powder diffractogram in this record (a wavelength of 1.5418 Å).
Peak positions follow from Bragg's law for the DFT cell and can differ from measured ones.

Peak list (10 most intense, 10° ≤ 2θ ≤ 90°, by angle)
2θ = 32.94°, I = 100
2θ = 35.77°, I = 83
2θ = 49.41°, I = 32
2θ = 56.95°, I = 19
2θ = 62.48°, I = 31
2θ = 64.26°, I = 15
2θ = 69.10°, I = 10
2θ = 75.78°, I = 9
2θ = 80.31°, I = 14
2θ = 85.13°, I = 13

Crystal structure
Cell lengths 6.490, 6.490, 6.490 Å; angles 45.52, 45.52, 45.52 degrees
Atoms (fractional coordinates):
1 Dy 0.098 0.098 0.098
2 Dy 0.902 0.902 0.902
3 Cd 0.309 0.309 0.309
4 Cd 0.500 0.500 0.500
5 Cd 0.691 0.691 0.691

***

Record 10
For Dy7Cd3, a structure optimized by DFT (GGA-PBE) gives the simulated powder diffractogram in this record (a wavelength of 1.5418 Å).
Peak positions follow from Bragg's law for the DFT cell and can differ from measured ones.

Peak list (10 most intense, 10° ≤ 2θ ≤ 90°, by angle)
2θ = 28.20°, I = 38
2θ = 30.23°, I = 100
2θ = 30.88°, I = 20
2θ = 33.49°, I = 82
2θ = 33.65°, I = 96
2θ = 35.81°, I = 42
2θ = 53.29°, I = 21
2θ = 54.52°, I = 23
2θ = 54.93°, I = 21
2θ = 62.03°, I = 27

Crystal structure
Cell lengths 10.029, 10.029, 6.796 Å; angles 90.00, 90.00, 120.00 degrees
Atoms (fractional coordinates):
1 Dy 0.061 0.530 0.000
2 Dy 0.125 0.251 0.738
3 Dy 0.125 0.875 0.738
4 Dy 0.251 0.125 0.238
5 Dy 0.333 0.667 0.616
6 Dy 0.470 0.530 0.000
7 Dy 0.470 0.939 0.000
8 Dy 0.530 0.061 0.500
9 Dy 0.530 0.470 0.500
10 Dy 0.667 0.333 0.116
11 Dy 0.749 0.875 0.738
12 Dy 0.875 0.125 0.238
13 Dy 0.875 0.749 0.238
14 Dy 0.939 0.470 0.500
15 Cd 0.205 0.411 0.299
16 Cd 0.205 0.795 0.299
17 Cd 0.411 0.205 0.799
18 Cd 0.589 0.795 0.299
19 Cd 0.795 0.205 0.799
20 Cd 0.795 0.589 0.799

***

Record 11
For Dy2Cd, a structure optimized by DFT (GGA-PBE) gives the simulated powder diffractogram in this record (a wavelength of 1.5418 Å).
Peak positions follow from Bragg's law for the DFT cell and can differ from measured ones.

Peak list (10 most intense, 10° ≤ 2θ ≤ 90°, by angle)
2θ = 32.39°, I = 100
2θ = 34.86°, I = 46
2θ = 42.56°, I = 8
2θ = 50.13°, I = 18
2θ = 56.15°, I = 15
2θ = 60.96°, I = 32
2θ = 67.81°, I = 8
2θ = 73.61°, I = 7
2θ = 82.73°, I = 7
2θ = 84.11°, I = 7

Crystal structure
Cell lengths 3.639, 3.639, 12.745 Å; angles 90.00, 90.00, 90.00 degrees
Atoms (fractional coordinates):
1 Dy 0.000 0.000 0.000
2 Dy 0.000 0.000 0.308
3 Dy 0.000 0.000 0.692
4 Dy 0.500 0.500 0.500
5 Cd 0.500 0.500 0.152
6 Cd 0.500 0.500 0.848

***

Record 12
For DyCd4, a structure optimized by DFT (GGA-PBE) gives the simulated powder diffractogram in this record (a wavelength of 1.5418 Å).
Peak positions follow from Bragg's law for the DFT cell and can differ from measured ones.

Peak list (10 most intense, 10° ≤ 2θ ≤ 90°, by angle)
2θ = 33.39°, I = 100
2θ = 35.49°, I = 95
2θ = 36.47°, I = 43
2θ = 37.03°, I = 44
2θ = 37.66°, I = 18
2θ = 45.90°, I = 16
2θ = 52.96°, I = 29
2θ = 64.44°, I = 14
2θ = 65.75°, I = 15
2θ = 67.83°, I = 27

Crystal structure
Cell lengths 8.465, 8.465, 8.465 Å; angles 146.67, 134.13, 57.87 degrees
Atoms (fractional coordinates):
1 Dy 0.355 0.105 0.250
2 Dy 0.645 0.895 0.750
3 Cd 0.000 0.500 0.500
4 Cd 0.137 0.887 0.250
5 Cd 0.202 0.698 0.505
6 Cd 0.307 0.302 0.005
7 Cd 0.500 0.500 0.000
8 Cd 0.693 0.698 0.995
9 Cd 0.798 0.302 0.495
10 Cd 0.863 0.113 0.750

***

Record 13
For Dy3Cd5, a structure optimized by DFT (GGA-PBE) gives the simulated powder diffractogram in this record (a wavelength of 1.5418 Å).
Peak positions follow from Bragg's law for the DFT cell and can differ from measured ones.

Peak list (10 most intense, 10° ≤ 2θ ≤ 90°, by angle)
2θ = 32.44°, I = 100
2θ = 35.06°, I = 87
2θ = 39.90°, I = 21
2θ = 42.23°, I = 12
2θ = 46.66°, I = 15
2θ = 54.18°, I = 17
2θ = 59.65°, I = 21
2θ = 63.03°, I = 11
2θ = 64.53°, I = 14
2θ = 67.77°, I = 14

Crystal structure
Cell lengths 7.827, 7.827, 3.893 Å; angles 90.00, 90.00, 120.00 degrees
Atoms (fractional coordinates):
1 Dy 0.000 0.608 0.000
2 Dy 0.392 0.392 0.000
3 Dy 0.608 0.000 0.000
4 Cd 0.000 0.233 0.500
5 Cd 0.233 0.000 0.500
6 Cd 0.333 0.667 0.500
7 Cd 0.667 0.333 0.500
8 Cd 0.767 0.767 0.500

***

Record 14
For Dy3Cd5, a structure optimized by DFT (GGA-PBE) gives the simulated powder diffractogram in this record (a wavelength of 1.5418 Å).
Peak positions follow from Bragg's law for the DFT cell and can differ from measured ones.

Peak list (10 most intense, 10° ≤ 2θ ≤ 90°, by angle)
2θ = 34.15°, I = 100
2θ = 34.53°, I = 23
2θ = 35.33°, I = 23
2θ = 47.88°, I = 10
2θ = 50.23°, I = 16
2θ = 60.37°, I = 10
2θ = 60.89°, I = 9
2θ = 61.62°, I = 16
2θ = 62.66°, I = 17
2θ = 71.92°, I = 10

Crystal structure
Cell lengths 6.437, 6.437, 5.081 Å; angles 90.00, 90.00, 107.65 degrees
Atoms (fractional coordinates):
1 Dy 0.000 0.000 0.000
2 Dy 0.267 0.733 0.500
3 Dy 0.733 0.267 0.500
4 Cd 0.000 0.500 0.000
5 Cd 0.242 0.242 0.500
6 Cd 0.500 0.000 0.000
7 Cd 0.500 0.500 0.000
8 Cd 0.758 0.758 0.500